Computed powder XRD pattern
Compound: Mn2AgCl2O2
Radiation: copper Kα
Structure: a crystal structure in Alexandria, relaxed with GGA+U
Intensities are scaled so that the largest is 100.

Largest 8 diffraction maxima, in order of rising 2θ, 10 to 90 degrees two-theta:
| hkl | Position (°2θ) | I_rel |
| --- | --- | --- |
| 0 0 2 | 15.90 | 14 |
| 1 0 0 | 28.89 | 18 |
| 1 0 1 | 30.00 | 100 |
| 0 1 2 | 33.14 | 12 |
| 0 0 5 | 40.47 | 18 |
| 0 1 4 | 43.74 | 41 |
| 1 1 0 | 51.19 | 29 |
| 1 1 5 | 67.20 | 22 |

Structural model:
```
7
Lattice="3.569 0.000 0.000 -1.785 3.091 0.000 0.000 0.000 11.145" Properties=species:S:1:pos:R:3 pbc="T T T"
Mn 0.000 2.061 1.250
Mn 1.785 1.030 9.895
Ag 0.000 0.000 5.573
Cl 0.000 0.000 3.210
Cl 0.000 0.000 7.935
O 0.000 2.061 10.276
O 1.785 1.030 0.869
```